(1)
The following is a simulated XRD peak list of BiSeO6. It was derived from the PBE geometry in the Materials Project, using Cu Ka.
Lines closer than 0.1° are merged.

Crystal structure
```
data_BiSeO6
_space_group_name_H-M_alt 'P 1 21/c 1'
_space_group_IT_number 14
_space_group_name_Hall '-P 2ybc'
_cell_length_a 6.1892
_cell_length_b 15.3603
_cell_length_c 7.0448
_cell_angle_alpha 90.00
_cell_angle_beta 120.86
_cell_angle_gamma 90.00
loop_
_atom_site_label
_atom_site_type_symbol
_atom_site_fract_x
_atom_site_fract_y
_atom_site_fract_z
_atom_site_occupancy
Bi1 Bi 0.1107 0.1643 0.3608 1
Se1 Se 0.4184 0.6601 0.5929 1
O1 O 0.0498 0.5203 0.9554 1
O2 O 0.1781 0.7314 0.5119 1
O3 O 0.1934 0.0787 0.1692 1
O4 O 0.3103 0.2111 0.8446 1
O5 O 0.3171 0.5956 0.3729 1
O6 O 0.4923 0.6097 0.8308 1
```

The 10 most intense peaks (2θ from 10° to 90°), sorted by position:
2θ = 11.52°, d 7.680, I = 369
2θ = 18.68°, d 4.751, I = 152
2θ = 19.41°, d 4.574, I = 1000
2θ = 23.16°, d 3.840, I = 121
2θ = 28.04°, d 3.182, I = 459
2θ = 30.12°, d 2.967, I = 254
2θ = 32.64°, d 2.743, I = 260
2θ = 34.26°, d 2.618, I = 170
2θ = 41.92°, d 2.155, I = 134
2θ = 42.79°, d 2.113, I = 127



(2)
The following is a simulated XRD peak list of Bi2Se2O. It was derived from the PBE geometry in the Materials Project, using Cu Ka.
Lines closer than 0.1° are merged.

Crystal structure
```
data_Bi2Se2O
_space_group_name_H-M_alt 'P 4/n m m'
_space_group_IT_number 129
_cell_length_a 4.0716
_cell_length_b 4.0716
_cell_length_c 14.9915
_cell_angle_alpha 90.00
_cell_angle_beta 90.00
_cell_angle_gamma 90.00
loop_
_space_group_symop_operation_xyz
'x,y,z'
'-x,-y,-z'
'-y+1/2,x,z'
'y+1/2,-x,-z'
'-x+1/2,-y+1/2,z'
'x+1/2,y+1/2,-z'
'y,-x+1/2,z'
'-y,x+1/2,-z'
'x+1/2,-y,-z'
'-x+1/2,y,z'
'-y,-x,-z'
'y,x,z'
'-x,y+1/2,-z'
'x,-y+1/2,z'
'y+1/2,x+1/2,-z'
'-y+1/2,-x+1/2,z'
loop_
_atom_site_label
_atom_site_type_symbol
_atom_site_fract_x
_atom_site_fract_y
_atom_site_fract_z
_atom_site_occupancy
Bi1 Bi 0.2500 0.2500 0.0828 1
Bi2 Bi 0.2500 0.2500 0.6383 1
Se1 Se 0.2500 0.2500 0.4022 1
Se2 Se 0.2500 0.2500 0.8170 1
O1 O 0.2500 0.7500 0.0000 1
```

The 10 most intense peaks (2θ from 10° to 90°), sorted by position:
2θ = 23.74°, d 3.748, I = 383
2θ = 24.89°, d 3.578, I = 668
2θ = 28.27°, d 3.157, I = 339
2θ = 31.06°, d 2.879, I = 1000
2θ = 37.24°, d 2.414, I = 480
2θ = 39.47°, d 2.283, I = 503
2θ = 44.50°, d 2.036, I = 423
2θ = 51.05°, d 1.789, I = 205
2θ = 53.31°, d 1.718, I = 214
2θ = 59.38°, d 1.556, I = 254



(3)
The following is a simulated XRD peak list of Bi2Te2SeO10. It was derived from the PBE geometry in the Materials Project, using Cu Ka.
Lines closer than 0.1° are merged.

Crystal structure
```
data_Bi2Te2SeO10
_space_group_name_H-M_alt 'C 1 2/c 1'
_space_group_IT_number 15
_space_group_name_Hall '-C 2yc'
_cell_length_a 16.2389
_cell_length_b 7.8161
_cell_length_c 8.2564
_cell_angle_alpha 90.00
_cell_angle_beta 111.81
_cell_angle_gamma 90.00
loop_
_atom_site_label
_atom_site_type_symbol
_atom_site_fract_x
_atom_site_fract_y
_atom_site_fract_z
_atom_site_occupancy
Bi1 Bi 0.1820 0.1560 0.1483 1
Te1 Te 0.1178 0.4290 0.4727 1
Se1 Se 0.0000 0.1088 0.7500 1
O1 O 0.0166 0.2311 0.9268 1
O2 O 0.0923 0.0114 0.3071 1
O3 O 0.1267 0.3753 0.2525 1
O4 O 0.1961 0.2670 0.6231 1
O5 O 0.2043 0.3901 0.0116 1
```

The 10 most intense peaks (2θ from 10° to 90°), sorted by position:
2θ = 11.74°, d 7.538, I = 148
2θ = 18.66°, d 4.755, I = 121
2θ = 20.58°, d 4.316, I = 119
2θ = 26.31°, d 3.387, I = 1000
2θ = 27.09°, d 3.292, I = 331
2θ = 28.47°, d 3.136, I = 309
2θ = 31.81°, d 2.813, I = 159
2θ = 35.30°, d 2.543, I = 115
2θ = 45.43°, d 1.996, I = 137
2θ = 46.42°, d 1.956, I = 215



(4)
The following is a simulated XRD peak list of Si3Bi2O9. It was derived from the PBE geometry in the Materials Project, using Cu Ka.
Lines closer than 0.1° are merged.

Crystal structure
```
data_Si3Bi2O9
_space_group_name_H-M_alt 'P 63/m'
_space_group_IT_number 176
_space_group_name_Hall '-P 6c'
_cell_length_a 6.8985
_cell_length_b 6.8985
_cell_length_c 9.7547
_cell_angle_alpha 90.00
_cell_angle_beta 90.00
_cell_angle_gamma 120.00
loop_
_atom_site_label
_atom_site_type_symbol
_atom_site_fract_x
_atom_site_fract_y
_atom_site_fract_z
_atom_site_occupancy
Si1 Si 0.0609 0.7831 0.2500 1
Bi1 Bi 0.3333 0.6667 0.5206 1
O1 O 0.0529 0.8071 0.7500 1
O2 O 0.0717 0.6588 0.1104 1
```

The 10 most intense peaks (2θ from 10° to 90°), sorted by position:
2θ = 14.83°, d 5.974, I = 459
2θ = 18.19°, d 4.877, I = 244
2θ = 23.55°, d 3.778, I = 742
2θ = 25.83°, d 3.449, I = 502
2θ = 31.77°, d 2.816, I = 1000
2θ = 39.93°, d 2.258, I = 218
2θ = 45.55°, d 1.991, I = 467
2θ = 49.43°, d 1.844, I = 263
2θ = 56.61°, d 1.626, I = 172
2θ = 75.48°, d 1.259, I = 178



(5)
The following is a simulated XRD peak list of SiBi3O7. It was derived from the PBE geometry in the Materials Project, using Cu Ka.
Lines closer than 0.1° are merged.

Crystal structure
```
data_SiBi3O7
_space_group_name_H-M_alt 'P 63'
_space_group_IT_number 173
_space_group_name_Hall 'P 6c'
_cell_length_a 8.2432
_cell_length_b 8.2432
_cell_length_c 5.3518
_cell_angle_alpha 90.00
_cell_angle_beta 90.00
_cell_angle_gamma 120.00
loop_
_atom_site_label
_atom_site_type_symbol
_atom_site_fract_x
_atom_site_fract_y
_atom_site_fract_z
_atom_site_occupancy
Si1 Si 0.3333 0.6667 0.0000 1
Bi1 Bi 0.0964 0.3428 0.4698 1
O1 O 0.0824 0.2443 0.8519 1
O2 O 0.1224 0.5909 0.1257 1
O3 O 0.3333 0.6667 0.6912 1
```

The 10 most intense peaks (2θ from 10° to 90°), sorted by position:
2θ = 21.56°, d 4.122, I = 288
2θ = 24.95°, d 3.569, I = 270
2θ = 27.31°, d 3.265, I = 988
2θ = 30.09°, d 2.970, I = 1000
2θ = 33.20°, d 2.698, I = 321
2θ = 33.49°, d 2.676, I = 307
2θ = 45.83°, d 1.980, I = 434
2θ = 47.88°, d 1.900, I = 279
2θ = 49.06°, d 1.857, I = 441
2θ = 57.94°, d 1.592, I = 372